Starting from a DFT-relaxed cell (PBE, Alexandria), the PXRD pattern of HoThZn4 was simulated for Cu Kα.

Structure:
```
data_HoThZn4
_cell_length_a 4.141
_cell_length_b 4.141
_cell_length_c 15.168
_cell_angle_alpha 90.00
_cell_angle_beta 90.00
_cell_angle_gamma 90.00
_space_group_name_H-M_alt 'I -4 m 2'
_space_group_IT_number 119
_space_group_name_Hall 'I -4 -2'
loop_
_atom_site_label
_atom_site_fract_x
_atom_site_fract_y
_atom_site_fract_z
Ho1 0.000 0.000 0.000
Th1 0.000 0.500 0.250
Zn1 0.000 0.000 0.420
Zn2 0.000 0.500 0.666
```

Most intense lines, 2θ from 10° to 90°, by angle:
- hkl 0 0 4, 2θ = 23.46°, I = 12.6
- hkl 1 0 3, 2θ = 27.85°, I = 39.4
- hkl 1 1 2, 2θ = 32.79°, I = 100.0
- hkl 1 0 5, 2θ = 36.72°, I = 51.7
- hkl 2 0 0, 2θ = 43.72°, I = 35.9
- hkl 1 0 7, 2θ = 47.35°, I = 26.1
- hkl 2 1 3, 2θ = 52.63°, I = 14.0
- hkl 2 1 5, 2θ = 58.38°, I = 26.7
- hkl 2 1 7, 2θ = 66.41°, I = 18.7
- hkl 3 1 2, 2θ = 73.37°, I = 19.4

=====

Starting from a DFT-relaxed cell (PBE, Alexandria), the PXRD pattern of HoThZn10 was simulated for Cu Kα.

Structure:
```
data_HoThZn10
_cell_length_a 4.221
_cell_length_b 5.370
_cell_length_c 9.244
_cell_angle_alpha 90.00
_cell_angle_beta 90.00
_cell_angle_gamma 90.00
_space_group_name_H-M_alt 'P m m m'
_space_group_IT_number 47
_space_group_name_Hall '-P 2 2'
loop_
_atom_site_label
_atom_site_fract_x
_atom_site_fract_y
_atom_site_fract_z
Ho1 0.000 0.000 0.000
Th1 0.000 0.500 0.500
Zn1 0.000 0.000 0.326
Zn2 0.000 0.500 0.160
Zn3 0.500 0.000 0.500
Zn4 0.500 0.252 0.249
Zn5 0.500 0.500 0.000
```

Most intense lines, 2θ from 10° to 90°, by angle:
- hkl 1 1 1, 2θ = 28.60°, I = 81.9
- hkl 0 1 3, 2θ = 33.53°, I = 33.8
- hkl 0 2 2, 2θ = 38.79°, I = 37.1
- hkl 1 2 0, 2θ = 39.79°, I = 50.8
- hkl 1 1 3, 2θ = 39.93°, I = 100.0
- hkl 2 0 0, 2θ = 42.85°, I = 37.5
- hkl 2 2 2, 2θ = 59.16°, I = 21.3
- hkl 1 3 3, 2θ = 64.08°, I = 24.1
- hkl 3 2 0, 2θ = 76.49°, I = 21.4
- hkl 2 2 6, 2θ = 86.13°, I = 18.8

=====

Starting from a DFT-relaxed cell (PBE, Alexandria), the PXRD pattern of HoTh2Zn3 was simulated for Cu Kα.

Structure:
```
data_HoTh2Zn3
_cell_length_a 5.1319
_cell_length_b 5.1319
_cell_length_c 6.3135
_cell_angle_alpha 90.00
_cell_angle_beta 90.00
_cell_angle_gamma 120.00
_space_group_name_H-M_alt 'P -3 m 1'
_space_group_IT_number 164
_space_group_name_Hall '-P 3 2"'
loop_
_atom_site_label
_atom_site_fract_x
_atom_site_fract_y
_atom_site_fract_z
Ho1 0.0000 0.0000 0.0000
Th1 0.3333 0.6667 0.6705
Zn1 0.0000 0.0000 0.5000
Zn2 0.3333 0.6667 0.1631
```

Most intense lines, 2θ from 10° to 90°, by angle:
- hkl 1 0 1, 2θ = 24.49°, I = 56.8
- hkl 0 1 2, 2θ = 34.86°, I = 100.0
- hkl 1 1 0, 2θ = 34.97°, I = 99.0
- hkl 0 2 1, 2θ = 43.16°, I = 13.4
- hkl 2 0 2, 2θ = 50.21°, I = 35.8
- hkl 2 1 1, 2θ = 56.71°, I = 12.5
- hkl 1 0 4, 2θ = 62.44°, I = 18.6
- hkl 3 0 0, 2θ = 62.67°, I = 55.0
- hkl 2 1 4, 2θ = 84.17°, I = 16.3
- hkl 3 1 2, 2θ = 84.35°, I = 16.2